1.
# Pm2PrNd4
Theoretical XRD peak list, Cu Kα. Input: a structure optimized by DFT (PBE).
Peak positions follow from Bragg's law for the DFT cell and can differ from measured ones.

Structure:
a = 3.605 Å, b = 5.933 Å, c = 23.337 Å
α = 90.00°, β = 90.00°, γ = 90.00°
Space group Immm (No. 71)
Symmetry-distinct sites (fractional):
Pm (0.000, 0.000, 0.224)
Pr (0.000, 0.000, 0.500)
Nd (0.000, 0.500, 0.137)
Nd (0.000, 0.500, 0.415)

Main lines, low angle first (2θ = 10–90°):
hkl, 2θ (°), I_rel
1 0 3, 27.27, 34
0 2 0, 30.13, 50
0 1 7, 30.76, 80
1 1 4, 32.88, 100
1 2 3, 41.08, 23
1 0 11, 49.88, 23
0 3 7, 53.91, 16
1 3 4, 55.27, 23
1 2 11, 59.38, 27
2 2 0, 60.06, 14
2 1 7, 60.43, 25
1 1 18, 80.35, 12



2.
# Sm2ThCu9
Theoretical XRD peak list, Cu Kα. Input: a structure optimized by DFT (PBE).
Peak positions follow from Bragg's law for the DFT cell and can differ from measured ones.

Structure:
a = 5.2355 Å, b = 5.2355 Å, c = 16.8190 Å
α = 90.00°, β = 90.00°, γ = 120.00°
Space group P6_3/mmc (No. 194)
Symmetry-distinct sites (fractional):
Sm (0.3333, 0.6667, 0.0382)
Th (0.3333, 0.6667, 0.2500)
Cu (0.0000, 0.0000, 0.0000)
Cu (0.0000, 0.0000, 0.2500)
Cu (0.1662, 0.3324, 0.6286)
Cu (0.3333, 0.6667, 0.7500)

Main lines, low angle first (2θ = 10–90°):
hkl, 2θ (°), I_rel
1 0 1, 20.29, 12
1 0 4, 28.96, 12
1 0 5, 33.16, 70
1 1 0, 34.25, 51
2 0 0, 39.76, 13
2 0 1, 40.14, 39
1 1 4, 40.60, 100
0 0 8, 43.03, 25
2 1 5, 60.65, 25
2 0 9, 64.64, 19
3 0 4, 65.64, 23
2 2 0, 72.17, 21



3.
# Na5B7C3
Theoretical XRD peak list, Cu Kα. Input: a structure optimized by DFT (PBE).
Peak positions follow from Bragg's law for the DFT cell and can differ from measured ones.

Structure:
a = 22.985 Å, b = 2.842 Å, c = 9.970 Å
α = 90.00°, β = 107.13°, γ = 90.00°
Space group Cm (No. 8)
Symmetry-distinct sites (fractional):
Na (0.000, 0.000, 0.000)
Na (0.000, 0.500, 0.495)
Na (0.100, 0.000, 0.696)
Na (0.101, 0.500, 0.199)
Na (0.200, 0.000, 0.398)
Na (0.200, 0.500, 0.896)
Na (0.299, 0.500, 0.597)
Na (0.301, 0.000, 0.095)
Na (0.397, 0.000, 0.800)
Na (0.400, 0.500, 0.299)
B (0.017, 0.500, 0.781)
B (0.019, 0.000, 0.287)
B (0.081, 0.500, 0.910)
B (0.116, 0.500, 0.479)
B (0.122, 0.000, 0.991)
B (0.189, 0.000, 0.124)
B (0.213, 0.000, 0.673)
B (0.280, 0.500, 0.308)
B (0.310, 0.500, 0.869)
B (0.318, 0.000, 0.385)
B (0.382, 0.500, 0.013)
B (0.385, 0.000, 0.518)
B (0.423, 0.000, 0.095)
B (0.475, 0.500, 0.699)
C (0.084, 0.000, 0.415)
C (0.181, 0.500, 0.609)
C (0.218, 0.500, 0.184)
C (0.278, 0.000, 0.805)
C (0.415, 0.500, 0.579)
C (0.487, 0.000, 0.222)

Main lines, low angle first (2θ = 10–90°):
hkl, 2θ (°), I_rel
6 0 2, 35.04, 11
3 1 1, 36.15, 17
10 0 0, 41.08, 50
7 1 -1, 42.06, 100
8 0 -4, 42.28, 38
11 1 -3, 56.81, 10
9 1 3, 63.57, 17
0 2 0, 65.72, 8
9 1 -7, 77.16, 13
1 1 7, 79.34, 17
10 2 0, 80.51, 10
8 2 -4, 81.31, 8



4.
# LiCaGeAu
Theoretical XRD peak list, Cu Kα. Input: a structure optimized by DFT (PBE).
Peak positions follow from Bragg's law for the DFT cell and can differ from measured ones.

Structure:
a = 7.822 Å, b = 4.512 Å, c = 5.429 Å
α = 90.00°, β = 118.57°, γ = 90.00°
Space group Cm (No. 8)
Symmetry-distinct sites (fractional):
Li (0.000, 0.000, 0.000)
Ca (0.200, 0.000, 0.602)
Ge (0.416, 0.000, 0.248)
Au (0.225, 0.500, 0.174)

Main lines, low angle first (2θ = 10–90°):
hkl, 2θ (°), I_rel
0 0 1, 18.61, 100
1 1 0, 23.59, 61
2 0 0, 25.97, 83
1 1 1, 33.98, 88
0 0 2, 37.74, 23
0 2 0, 39.94, 84
3 1 0, 44.41, 68
2 2 0, 48.27, 16
1 1 2, 50.39, 22
2 2 -2, 53.46, 16
3 1 1, 56.09, 29
4 2 0, 68.74, 23



5.
# SiAg2Pb2
Theoretical XRD peak list, Cu Kα. Input: a structure optimized by DFT (PBE).
Peak positions follow from Bragg's law for the DFT cell and can differ from measured ones.

Structure:
a = 6.873 Å, b = 6.873 Å, c = 5.025 Å
α = 90.00°, β = 90.00°, γ = 90.00°
Space group P4/mbm (No. 127)
Symmetry-distinct sites (fractional):
Si (0.000, 0.000, 0.000)
Ag (0.149, 0.351, 0.000)
Pb (0.174, 0.674, 0.500)

Main lines, low angle first (2θ = 10–90°):
hkl, 2θ (°), I_rel
1 1 0, 18.25, 10
2 0 0, 25.93, 17
2 0 1, 31.54, 11
2 1 1, 34.20, 100
0 0 2, 35.74, 22
3 1 0, 41.55, 15
3 1 2, 55.94, 13
3 3 0, 56.83, 9
4 1 1, 58.32, 19
2 1 3, 63.23, 17
3 3 2, 68.98, 10
5 2 1, 77.10, 9



6.
# PmGaPdPt
Theoretical XRD peak list, Cu Kα. Input: a structure optimized by DFT (PBE).
Peak positions follow from Bragg's law for the DFT cell and can differ from measured ones.

Structure:
a = 7.656 Å, b = 4.428 Å, c = 5.387 Å
α = 90.00°, β = 118.14°, γ = 90.00°
Space group Cm (No. 8)
Symmetry-distinct sites (fractional):
Pm (0.000, 0.000, 0.000)
Ga (0.008, 0.500, 0.523)
Pd (0.287, 0.500, 0.362)
Pt (0.213, 0.000, 0.638)

Main lines, low angle first (2θ = 10–90°):
hkl, 2θ (°), I_rel
0 0 1, 18.68, 18
2 0 -1, 24.05, 39
1 1 1, 34.37, 95
2 0 1, 39.40, 51
0 2 0, 40.79, 100
3 1 0, 45.22, 11
4 0 0, 54.38, 26
2 2 1, 57.96, 11
4 2 0, 70.10, 16
5 1 0, 73.29, 11
4 2 -3, 73.44, 11
3 3 -1, 74.23, 11